Entry 1:
Simulated powder X-ray diffraction pattern
Compound: Te2Pd3Rh
Radiation: CuKα
Structure: a structure optimized by DFT (PBE)
Peak positions follow from Bragg's law for the DFT cell and can differ from measured ones.

Most intense lines, 10 to 90 degrees two-theta, by angle:
- (1 -1 0), 30.8°, intensity 19
- (1 -1 1), 32.6°, intensity 12
- (1 1 2), 35.0°, intensity 91
- (1 1 -1), 39.8°, intensity 100
- (0 0 3), 42.0°, intensity 32
- (0 2 1), 42.3°, intensity 24
- (0 2 0), 42.7°, intensity 19
- (-1 1 2), 43.7°, intensity 28
- (2 0 1), 45.8°, intensity 35
- (2 0 4), 63.8°, intensity 18

Structural model:
```
data_Te2Pd3Rh
_chemical_formula_sum 'Te2 Pd3 Rh1'
_cell_length_a 3.964
_cell_length_b 4.315
_cell_length_c 6.878
_cell_angle_alpha 79.19
_cell_angle_beta 73.28
_cell_angle_gamma 89.89
_space_group_name_H-M_alt 'P -1'
_space_group_IT_number 2
_space_group_name_Hall '-P 1'
loop_
_atom_site_label
_atom_site_type_symbol
_atom_site_fract_x
_atom_site_fract_y
_atom_site_fract_z
_atom_site_occupancy
Te1 Te 0.141 0.095 0.217 1
Pd1 Pd 0.000 0.500 0.500 1
Pd2 Pd 0.337 0.432 0.829 1
Rh1 Rh 0.500 0.000 0.500 1
```



Entry 2:
Simulated powder X-ray diffraction pattern
Compound: Te8PdRh5
Radiation: CuKα
Structure: a structure optimized by DFT (PBE)
Peak positions follow from Bragg's law for the DFT cell and can differ from measured ones.

Most intense lines, 10 to 90 degrees two-theta, by angle:
- (2 2 0), 22.7°, intensity 15
- (3 1 1), 26.7°, intensity 41
- (2 2 2), 27.9°, intensity 32
- (4 0 0), 32.3°, intensity 77
- (5 1 1), 42.4°, intensity 35
- (4 4 0), 46.3°, intensity 100
- (4 4 4), 57.6°, intensity 17
- (8 0 0), 67.6°, intensity 15
- (8 4 0), 76.9°, intensity 20
- (8 4 4), 85.9°, intensity 29

Structural model:
```
data_Te8PdRh5
_chemical_formula_sum 'Te32 Pd4 Rh20'
_cell_length_a 11.090
_cell_length_b 11.090
_cell_length_c 11.090
_cell_angle_alpha 90.00
_cell_angle_beta 90.00
_cell_angle_gamma 90.00
_space_group_name_H-M_alt 'F -4 3 m'
_space_group_IT_number 216
_space_group_name_Hall 'F -4 2 3'
loop_
_atom_site_label
_atom_site_type_symbol
_atom_site_fract_x
_atom_site_fract_y
_atom_site_fract_z
_atom_site_occupancy
Te1 Te 0.114 0.114 0.386 1
Te2 Te 0.133 0.133 0.867 1
Pd1 Pd 0.250 0.250 0.250 1
Rh1 Rh 0.000 0.000 0.000 1
Rh2 Rh 0.125 0.125 0.625 1
```



Entry 3:
Simulated powder X-ray diffraction pattern
Compound: Te2PdRh
Radiation: CuKα
Structure: a structure optimized by DFT (PBE)
Peak positions follow from Bragg's law for the DFT cell and can differ from measured ones.

Most intense lines, 10 to 90 degrees two-theta, by angle:
- (1 0 1), 26.3°, intensity 16
- (0 1 2), 27.5°, intensity 55
- (1 0 4), 31.9°, intensity 23
- (0 1 5), 34.9°, intensity 100
- (1 0 7), 42.0°, intensity 56
- (1 1 0), 45.6°, intensity 74
- (2 0 5), 58.7°, intensity 22
- (0 2 7), 63.7°, intensity 16
- (1 1 12), 76.1°, intensity 18
- (1 2 5), 77.3°, intensity 19

Structural model:
```
data_Te2PdRh
_chemical_formula_sum 'Te6 Pd3 Rh3'
_cell_length_a 3.9801
_cell_length_b 3.9801
_cell_length_c 19.2797
_cell_angle_alpha 90.00
_cell_angle_beta 90.00
_cell_angle_gamma 120.00
_space_group_name_H-M_alt 'R 3 m'
_space_group_IT_number 160
_space_group_name_Hall 'R 3 -2"'
loop_
_atom_site_label
_atom_site_type_symbol
_atom_site_fract_x
_atom_site_fract_y
_atom_site_fract_z
_atom_site_occupancy
Te1 Te 0.0000 0.0000 0.0000 1
Te2 Te 0.0000 0.0000 0.1849 1
Pd1 Pd 0.0000 0.0000 0.4387 1
Rh1 Rh 0.0000 0.0000 0.5866 1
```



Entry 4:
Simulated powder X-ray diffraction pattern
Compound: Te3Pd3Rh
Radiation: CuKα
Structure: a structure optimized by DFT (PBE)
Peak positions follow from Bragg's law for the DFT cell and can differ from measured ones.

Most intense lines, 10 to 90 degrees two-theta, by angle:
- (0 2 0), 27.8°, intensity 35
- (2 2 1), 31.0°, intensity 41
- (6 0 0), 32.5°, intensity 87
- (0 0 4), 33.0°, intensity 77
- (4 2 1), 36.4°, intensity 36
- (3 1 4), 39.6°, intensity 31
- (6 2 0), 43.2°, intensity 57
- (0 2 4), 43.6°, intensity 82
- (6 0 4), 47.0°, intensity 100
- (3 3 2), 48.6°, intensity 89

Structural model:
```
data_Te3Pd3Rh
_chemical_formula_sum 'Te24 Pd24 Rh8'
_cell_length_a 16.533
_cell_length_b 6.428
_cell_length_c 10.846
_cell_angle_alpha 90.00
_cell_angle_beta 90.00
_cell_angle_gamma 90.00
_space_group_name_H-M_alt 'C m c e'
_space_group_IT_number 64
_space_group_name_Hall '-C 2ac 2'
loop_
_atom_site_label
_atom_site_type_symbol
_atom_site_fract_x
_atom_site_fract_y
_atom_site_fract_z
_atom_site_occupancy
Te1 Te 0.000 0.235 0.152 1
Te2 Te 0.178 0.221 0.867 1
Pd1 Pd 0.000 0.143 0.396 1
Pd2 Pd 0.157 0.130 0.613 1
Rh1 Rh 0.084 0.000 0.000 1
```



Entry 5:
Simulated powder X-ray diffraction pattern
Compound: Te4Pd3Rh2
Radiation: CuKα
Structure: a structure optimized by DFT (PBE)
Peak positions follow from Bragg's law for the DFT cell and can differ from measured ones.

Most intense lines, 10 to 90 degrees two-theta, by angle:
- (0 0 2), 26.7°, intensity 34
- (2 2 -1), 26.8°, intensity 57
- (1 3 1), 33.3°, intensity 37
- (4 0 -2), 37.3°, intensity 54
- (4 2 1), 38.0°, intensity 100
- (0 4 0), 39.4°, intensity 41
- (1 1 3), 43.1°, intensity 38
- (3 3 -2), 44.4°, intensity 48
- (0 2 3), 45.3°, intensity 39
- (6 2 -1), 48.2°, intensity 41

Structural model:
```
data_Te4Pd3Rh2
_chemical_formula_sum 'Te16 Pd12 Rh8'
_cell_length_a 12.753
_cell_length_b 9.153
_cell_length_c 6.702
_cell_angle_alpha 90.00
_cell_angle_beta 95.24
_cell_angle_gamma 90.00
_space_group_name_H-M_alt 'C 1 2/c 1'
_space_group_IT_number 15
_space_group_name_Hall '-C 2yc'
loop_
_atom_site_label
_atom_site_type_symbol
_atom_site_fract_x
_atom_site_fract_y
_atom_site_fract_z
_atom_site_occupancy
Te1 Te 0.108 0.141 0.438 1
Te2 Te 0.122 0.419 0.968 1
Pd1 Pd 0.000 0.221 0.750 1
Pd2 Pd 0.169 0.130 0.037 1
Rh1 Rh 0.218 0.359 0.325 1
```



Entry 6:
Simulated powder X-ray diffraction pattern
Compound: Th4Pd2Rh3
Radiation: CuKα
Structure: a structure optimized by DFT (PBE)
Peak positions follow from Bragg's law for the DFT cell and can differ from measured ones.

Most intense lines, 10 to 90 degrees two-theta, by angle:
- (2 2 -1), 25.6°, intensity 38
- (4 0 0), 26.9°, intensity 100
- (2 0 -2), 32.8°, intensity 40
- (0 4 0), 33.2°, intensity 93
- (1 1 2), 33.3°, intensity 70
- (4 2 -1), 34.4°, intensity 71
- (2 0 2), 34.9°, intensity 35
- (5 1 1), 39.5°, intensity 28
- (1 3 2), 41.0°, intensity 35
- (4 4 0), 43.2°, intensity 37

Structural model:
```
data_Th4Pd2Rh3
_chemical_formula_sum 'Th16 Pd8 Rh12'
_cell_length_a 13.278
_cell_length_b 10.803
_cell_length_c 5.802
_cell_angle_alpha 90.00
_cell_angle_beta 94.68
_cell_angle_gamma 90.00
_space_group_name_H-M_alt 'C 1 2/c 1'
_space_group_IT_number 15
_space_group_name_Hall '-C 2yc'
loop_
_atom_site_label
_atom_site_type_symbol
_atom_site_fract_x
_atom_site_fract_y
_atom_site_fract_z
_atom_site_occupancy
Th1 Th 0.098 0.118 0.020 1
Th2 Th 0.134 0.396 0.640 1
Pd1 Pd 0.204 0.341 0.162 1
Rh1 Rh 0.000 0.361 0.250 1
Rh2 Rh 0.123 0.140 0.513 1
```